The following is a calculated powder XRD pattern of Rb3Na4Bi4. It was derived from a crystal structure in Alexandria, relaxed with PBE, using CuKα.
Intensities are scaled so that the largest is 100.

Structural model:
abc: 10.5791 10.5791 10.5791
angles: 149.54 133.01 57.03
Positions (direct):
Rb (0.0000, 0.0000, 0.0000)
Rb (0.3679, 0.8679, 0.5000)
Rb (0.6321, 0.1321, 0.5000)
Na (0.0283, 0.3234, 0.7049)
Na (0.3814, 0.6766, 0.7049)
Na (0.6186, 0.3234, 0.2951)
Na (0.9717, 0.6766, 0.2951)
Bi (0.2049, 0.2049, 0.0000)
Bi (0.3286, 0.5000, 0.8286)
Bi (0.6714, 0.5000, 0.1714)
Bi (0.7951, 0.7951, 0.0000)

Largest 10 diffraction maxima, by angle, 15° ≤ 2θ ≤ 90°:
2θ/deg	Rel. int.
19.1	99.0
21.5	98.3
23.2	36.6
27.0	85.8
27.2	100.0
32.2	73.2
36.0	57.7
37.1	54.3
40.2	39.3
52.4	37.1